Structure and calculated X-ray powder pattern of Cu3As (a structure optimized by DFT (GGA-PBE); Cu Kα (λ = 1.5418 Å)).
Peak positions follow from Bragg's law for the DFT cell and can differ from measured ones.

Main lines, sorted by position (10 to 90 degrees two-theta):
- d 2.113, intensity 1000, (2 2 0)
- d 1.494, intensity 155, (4 0 0)
- d 1.220, intensity 302, (4 2 2)

Cell and atoms:
Cell: 5.9770 5.9770 5.9770 Å, 90.00 90.00 90.00°
Space group Fm-3m (No. 225)
Unique sites:
Cu 0.0000 0.0000 0.0000 [4 per cell]
Cu 0.2500 0.2500 0.2500 [8 per cell]
As 0.0000 0.0000 0.5000 [4 per cell]